The following is a calculated powder X-ray diffraction pattern of NaGaNiF6. It was derived from DFT lattice parameters and positions (PBE+U), using λ = 1.5418 Å (Cu Kα).
Kinematic intensities with the Lorentz-polarization factor, no thermal factor.

```
data_NaGaNiF6
_symmetry_space_group_name_H-M 'P 42 n m'
_symmetry_Int_Tables_number 102
_cell_length_a 4.8264
_cell_length_b 4.8264
_cell_length_c 9.4223
_cell_angle_alpha 90.00
_cell_angle_beta 90.00
_cell_angle_gamma 90.00
loop_
_symmetry_equiv_pos_as_xyz
'x,y,z'
'-y+1/2,x+1/2,z+1/2'
'-x,-y,z'
'y+1/2,-x+1/2,z+1/2'
'-x+1/2,y+1/2,z+1/2'
'y,x,z'
'x+1/2,-y+1/2,z+1/2'
'-y,-x,z'
loop_
_atom_site_label
_atom_site_type_symbol
_atom_site_fract_x
_atom_site_fract_y
_atom_site_fract_z
Na1 Na 0.0000 0.0000 0.0000
Ga1 Ga 0.0000 0.0000 0.3340
Ni1 Ni 0.0000 0.0000 0.6702
F1 F 0.1780 0.1780 0.4941
F2 F 0.2020 0.2020 0.1899
F3 F 0.2174 0.2174 0.8206
```

Top 12 peaks for 2θ = 15–90°, by angle:
Position (°2θ)  I_rel
18.84  14.3
20.68  33.9
26.11  100.0
34.06  51.6
38.97  21.5
51.36  66.3
53.72  21.8
58.80  9.5
60.68  10.4
65.15  24.7
65.42  12.8
83.70  9.1